For ScCdCu2, a structure optimized by DFT (GGA-PBE) gives the computed X-ray diffraction stick pattern in this record (copper Kα).
Lines closer than 0.1° are merged.

Structural model:
Cell: 6.3900 6.3900 6.3900 Å, 90.00 90.00 90.00°
Fractional coordinates of all 16 atoms:
Sc1 0.0000 0.0000 0.0000
Sc2 0.0000 0.5000 0.5000
Sc3 0.5000 0.0000 0.5000
Sc4 0.5000 0.5000 0.0000
Cd1 0.0000 0.0000 0.5000
Cd2 0.0000 0.5000 0.0000
Cd3 0.5000 0.0000 0.0000
Cd4 0.5000 0.5000 0.5000
Cu1 0.2500 0.2500 0.2500
Cu2 0.2500 0.2500 0.7500
Cu3 0.2500 0.7500 0.2500
Cu4 0.2500 0.7500 0.7500
Cu5 0.7500 0.2500 0.2500
Cu6 0.7500 0.2500 0.7500
Cu7 0.7500 0.7500 0.2500
Cu8 0.7500 0.7500 0.7500

Most intense lines, 2θ from 10° to 90°, most intense first:
39.9°, d = 2.259 Å, I 100, hkl 2 2 0
72.5°, d = 1.304 Å, I 31, hkl 4 2 2
57.7°, d = 1.597 Å, I 16, hkl 4 0 0
24.1°, d = 3.689 Å, I 14, hkl 1 1 1
86.1°, d = 1.130 Å, I 10, hkl 4 4 0
47.2°, d = 1.927 Å, I 7, hkl 3 1 1
63.5°, d = 1.466 Å, I 3, hkl 3 3 1
77.6°, d = 1.230 Å, I 2, hkl 5 1 1
27.9°, d = 3.195 Å, I 1, hkl 2 0 0